Structure and computed powder X-ray diffraction pattern of Rb4B9Se9 (a cell relaxed with PBE; Cu Kα (weighted mean of Kα1 and Kα2)).
Lines closer than 0.1° are merged.

Cell: 10.633 10.898 11.272 Å, 91.24 105.27 110.52°
Fractional positions:
Rb 0.119 0.380 0.132
Rb 0.139 0.004 0.363
Rb 0.244 0.631 0.478
Rb 0.318 0.385 0.757
Rb 0.682 0.615 0.243
Rb 0.756 0.369 0.522
Rb 0.861 0.996 0.637
Rb 0.881 0.620 0.868
B 0.132 0.820 0.686
B 0.166 0.764 0.141
B 0.338 0.967 0.015
B 0.371 0.862 0.915
B 0.380 0.022 0.877
B 0.433 0.262 0.247
B 0.439 0.872 0.080
B 0.454 0.133 0.018
B 0.491 0.040 0.142
B 0.509 0.960 0.858
B 0.546 0.867 0.982
B 0.561 0.128 0.920
B 0.567 0.738 0.753
B 0.620 0.978 0.123
B 0.629 0.138 0.085
B 0.662 0.033 0.985
B 0.834 0.236 0.859
B 0.868 0.180 0.314
Se 0.018 0.654 0.202
Se 0.029 0.259 0.455
Se 0.149 0.912 0.047
Se 0.211 0.712 0.800
Se 0.227 0.016 0.724
Se 0.343 0.729 0.171
Se 0.409 0.288 0.069
Se 0.420 0.385 0.363
Se 0.475 0.105 0.303
Se 0.525 0.895 0.697
Se 0.580 0.615 0.637
Se 0.591 0.712 0.931
Se 0.657 0.271 0.829
Se 0.773 0.984 0.276
Se 0.789 0.288 0.200
Se 0.851 0.088 0.953
Se 0.971 0.741 0.545
Se 0.982 0.346 0.798

Principal peaks in the range 2θ = 5–70°, in order of rising 2θ:
2θ (°)	intensity
25.21	81.9
26.41	82.4
27.07	61.8
28.51	57.5
28.99	100.0
30.02	76.4
30.91	42.9
32.33	85.2
32.51	49.2
34.64	41.3

=====

Structure and computed powder X-ray diffraction pattern of Rb2B2Se7 (a cell relaxed with PBE; Cu Kα (weighted mean of Kα1 and Kα2)).
Lines closer than 0.1° are merged.

Cell: 9.010 9.010 13.062 Å, 120.03 120.03 49.25°
Fractional positions:
Rb 0.119 0.673 0.976
Rb 0.327 0.881 0.524
Rb 0.673 0.119 0.476
Rb 0.881 0.327 0.024
B 0.154 0.615 0.651
B 0.385 0.846 0.849
B 0.615 0.154 0.151
B 0.846 0.385 0.349
Se 0.063 0.100 0.272
Se 0.100 0.063 0.772
Se 0.147 0.402 0.664
Se 0.167 0.570 0.485
Se 0.402 0.147 0.164
Se 0.430 0.833 0.015
Se 0.446 0.554 0.750
Se 0.554 0.446 0.250
Se 0.570 0.167 0.985
Se 0.598 0.853 0.836
Se 0.833 0.430 0.515
Se 0.853 0.598 0.336
Se 0.900 0.937 0.228
Se 0.937 0.900 0.728

Principal peaks in the range 2θ = 5–70°, in order of rising 2θ:
2θ (°)	intensity
13.75	60.7
21.79	38.9
27.75	100.0
28.87	97.8
29.80	34.9
30.38	26.2
30.49	21.1
32.88	30.5
34.91	20.1
41.15	24.2

=====

Structure and computed powder X-ray diffraction pattern of RbBSe3 (a cell relaxed with PBE; Cu Kα (weighted mean of Kα1 and Kα2)).
Lines closer than 0.1° are merged.

Cell: 8.048 8.048 4.512 Å, 90.00 90.00 110.29°
Fractional positions:
Rb 0.167 0.833 0.750
Rb 0.833 0.167 0.250
B 0.374 0.374 0.500
B 0.626 0.626 0.000
Se 0.176 0.386 0.778
Se 0.386 0.176 0.222
Se 0.403 0.597 0.250
Se 0.597 0.403 0.750
Se 0.614 0.824 0.722
Se 0.824 0.614 0.278

Principal peaks in the range 2θ = 5–70°, in order of rising 2θ:
2θ (°)	intensity
11.72	17.7
27.00	23.1
30.89	100.0
35.35	8.9
39.17	11.4
39.97	13.7
41.07	14.1
48.90	9.3
61.23	8.7
66.98	9.2

=====

Structure and computed powder X-ray diffraction pattern of Rb8B3Se8 (a cell relaxed with PBE; Cu Kα (weighted mean of Kα1 and Kα2)).
Lines closer than 0.1° are merged.

Cell: 12.699 12.699 9.643 Å, 107.43 107.43 31.41°
Fractional positions:
Rb 0.028 0.028 0.246
Rb 0.200 0.200 0.794
Rb 0.325 0.325 0.538
Rb 0.381 0.381 0.051
Rb 0.619 0.619 0.949
Rb 0.675 0.675 0.462
Rb 0.800 0.800 0.206
Rb 0.972 0.972 0.754
B 0.183 0.183 0.196
B 0.500 0.500 0.500
B 0.817 0.817 0.804
Se 0.113 0.113 0.019
Se 0.174 0.174 0.394
Se 0.261 0.261 0.171
Se 0.483 0.483 0.674
Se 0.517 0.517 0.326
Se 0.739 0.739 0.829
Se 0.826 0.826 0.606
Se 0.887 0.887 0.981

Principal peaks in the range 2θ = 5–70°, in order of rising 2θ:
2θ (°)	intensity
15.85	19.4
18.47	24.8
25.92	100.0
28.31	39.7
28.47	24.8
29.22	41.9
33.31	18.8
38.76	35.3
38.89	23.0
39.45	36.8

=====

Structure and computed powder X-ray diffraction pattern of RbVBSe6 (a cell relaxed with PBE; Cu Kα (weighted mean of Kα1 and Kα2)).
Lines closer than 0.1° are merged.

Cell: 5.139 6.534 8.112 Å, 89.03 87.43 66.85°
Fractional positions:
Rb 0.000 0.000 0.000
V 0.713 0.573 0.500
B 0.456 0.087 0.500
Se 0.054 0.490 0.254
Se 0.157 0.300 0.667
Se 0.335 0.875 0.372
Se 0.456 0.490 0.746
Se 0.543 0.299 0.333
Se 0.790 0.876 0.628

Principal peaks in the range 2θ = 5–70°, in order of rising 2θ:
2θ (°)	intensity
10.92	100.0
22.18	40.3
26.53	52.9
29.64	47.8
30.09	76.4
30.67	60.2
33.17	23.9
35.56	57.4
39.10	30.1
54.65	23.2

=====

Structure and computed powder X-ray diffraction pattern of RbSrB12 (a cell relaxed with PBE; Cu Kα (weighted mean of Kα1 and Kα2)).
Lines closer than 0.1° are merged.

Cell: 5.988 5.988 5.988 Å, 60.00 60.00 60.00°
Fractional positions:
Rb 0.000 0.000 0.000
Sr 0.500 0.500 0.500
B 0.101 0.101 0.399
B 0.101 0.399 0.101
B 0.101 0.399 0.399
B 0.399 0.101 0.101
B 0.399 0.101 0.399
B 0.399 0.399 0.101
B 0.601 0.601 0.899
B 0.601 0.899 0.601
B 0.601 0.899 0.899
B 0.899 0.601 0.601
B 0.899 0.601 0.899
B 0.899 0.899 0.601

Principal peaks in the range 2θ = 5–70°, in order of rising 2θ:
2θ (°)	intensity
20.98	39.1
29.84	100.0
36.77	43.9
42.71	22.8
48.05	46.3
52.97	20.2
61.99	8.4
66.22	29.7

=====

What did the third record say?
Structure and computed powder X-ray diffraction pattern of RbBSe3 (a cell relaxed with PBE; Cu Kα (weighted mean of Kα1 and Kα2)).
Lines closer than 0.1° are merged.

Cell: 8.048 8.048 4.512 Å, 90.00 90.00 110.29°
Fractional positions:
Rb 0.167 0.833 0.750
Rb 0.833 0.167 0.250
B 0.374 0.374 0.500
B 0.626 0.626 0.000
Se 0.176 0.386 0.778
Se 0.386 0.176 0.222
Se 0.403 0.597 0.250
Se 0.597 0.403 0.750
Se 0.614 0.824 0.722
Se 0.824 0.614 0.278

Principal peaks in the range 2θ = 5–70°, in order of rising 2θ:
2θ (°)	intensity
11.72	17.7
27.00	23.1
30.89	100.0
35.35	8.9
39.17	11.4
39.97	13.7
41.07	14.1
48.90	9.3
61.23	8.7
66.98	9.2